Entry 1:
Starting from a crystal structure in Alexandria, relaxed with PBE, the X-ray powder pattern of Tl2Pd2Pt was simulated for Cu Kα, 1.54184 Å.
Neutral-atom scattering factors, no anomalous dispersion.

```
data_Tl2Pd2Pt
_chemical_formula_sum 'Tl8 Pd8 Pt4'
_cell_length_a 4.2411
_cell_length_b 15.4998
_cell_length_c 5.7733
_cell_angle_alpha 90.00
_cell_angle_beta 90.00
_cell_angle_gamma 90.00
_space_group_name_H-M_alt 'C m c 21'
_space_group_IT_number 36
loop_
_space_group_symop_operation_xyz
'x,y,z'
'-x,-y,z+1/2'
'-x,y,z'
'x,-y,z+1/2'
'x+1/2,y+1/2,z'
'-x+1/2,-y+1/2,z+1/2'
'-x+1/2,y+1/2,z'
'x+1/2,-y+1/2,z+1/2'
loop_
_atom_site_label
_atom_site_fract_x
_atom_site_fract_y
_atom_site_fract_z
Tl1 0.0000 0.0773 0.0000
Tl2 0.0000 0.2941 0.1915
Pd1 0.0000 0.3252 0.7015
Pd2 0.0000 0.4890 0.2405
Pt1 0.0000 0.1085 0.4913
```

The 8 most intense peaks (2θ = 10–90°), sorted by position:
(hkl), 2θ (°), I (rel.)
1 5 0, 35.9, 99
1 1 2, 38.2, 100
0 4 2, 38.9, 24
1 5 1, 39.2, 21
2 0 0, 42.6, 40
0 6 2, 47.2, 24
2 6 2, 65.5, 18
1 5 4, 76.1, 20

Entry 2:
Starting from a crystal structure in Alexandria, relaxed with PBE, the X-ray powder pattern of Tl2PdPt was simulated for Cu Kα, 1.54184 Å.
Neutral-atom scattering factors, no anomalous dispersion.

```
data_Tl2PdPt
_chemical_formula_sum 'Tl6 Pd3 Pt3'
_cell_length_a 3.9226
_cell_length_b 3.9226
_cell_length_c 19.9523
_cell_angle_alpha 90.00
_cell_angle_beta 90.00
_cell_angle_gamma 120.00
_space_group_name_H-M_alt 'R 3 m'
_space_group_IT_number 160
_space_group_name_Hall 'R 3 -2"'
loop_
_atom_site_label
_atom_site_fract_x
_atom_site_fract_y
_atom_site_fract_z
Tl1 0.0000 0.0000 0.0000
Tl2 0.0000 0.0000 0.1706
Pd1 0.0000 0.0000 0.7509
Pt1 0.0000 0.0000 0.5855
```

The 8 most intense peaks (2θ = 10–90°), sorted by position:
(hkl), 2θ (°), I (rel.)
0 1 2, 27.7, 57
0 1 5, 34.7, 100
1 0 7, 41.3, 57
1 1 0, 46.3, 60
2 0 5, 59.1, 22
1 1 12, 74.9, 29
1 2 5, 78.2, 20
2 1 7, 82.4, 17

Entry 3:
Starting from a crystal structure in Alexandria, relaxed with PBE, the X-ray powder pattern of Tm3PdPt3 was simulated for Cu Kα, 1.54184 Å.
Neutral-atom scattering factors, no anomalous dispersion.

```
data_Tm3PdPt3
_chemical_formula_sum 'Tm12 Pd4 Pt12'
_cell_length_a 8.3515
_cell_length_b 8.3515
_cell_length_c 8.3515
_cell_angle_alpha 90.00
_cell_angle_beta 90.00
_cell_angle_gamma 90.00
_space_group_name_H-M_alt 'P 21 3'
_space_group_IT_number 198
_space_group_name_Hall 'P 2ac 2ab 3'
loop_
_atom_site_label
_atom_site_fract_x
_atom_site_fract_y
_atom_site_fract_z
Tm1 0.0047 0.2715 0.8754
Pd1 0.0695 0.4305 0.5695
Pt1 0.1026 0.6026 0.8974
Pt2 0.1602 0.1602 0.1602
Pt3 0.1666 0.8334 0.3334
```

The 8 most intense peaks (2θ = 10–90°), sorted by position:
(hkl), 2θ (°), I (rel.)
2 1 1, 26.1, 16
3 0 1, 33.9, 96
3 1 2, 40.4, 100
4 0 2, 48.8, 14
4 2 2, 53.8, 18
6 1 1, 69.4, 26
5 4 1, 73.5, 14
6 1 3, 77.5, 10

Entry 4:
Starting from a crystal structure in Alexandria, relaxed with PBE, the X-ray powder pattern of Tm3Pd2Pt was simulated for Cu Kα, 1.54184 Å.
Neutral-atom scattering factors, no anomalous dispersion.

```
data_Tm3Pd2Pt
_chemical_formula_sum 'Tm12 Pd8 Pt4'
_cell_length_a 4.9045
_cell_length_b 14.6977
_cell_length_c 6.8830
_cell_angle_alpha 90.00
_cell_angle_beta 90.00
_cell_angle_gamma 90.00
_space_group_name_H-M_alt 'C m m m'
_space_group_IT_number 65
_space_group_name_Hall '-C 2 2'
loop_
_atom_site_label
_atom_site_fract_x
_atom_site_fract_y
_atom_site_fract_z
Tm1 0.0000 0.0000 0.2491
Tm2 0.0000 0.3321 0.2462
Pd1 0.0000 0.1687 0.5000
Pd2 0.0000 0.5000 0.0000
Pd3 0.0000 0.5000 0.5000
Pt1 0.0000 0.1614 0.0000
```

The 8 most intense peaks (2θ = 10–90°), sorted by position:
(hkl), 2θ (°), I (rel.)
2 0 0, 36.7, 50
1 3 2, 36.8, 100
2 6 0, 52.8, 18
0 0 4, 53.2, 9
3 3 2, 66.1, 36
2 0 4, 66.4, 18
2 6 4, 78.3, 11
3 9 2, 89.5, 8

Entry 5:
Starting from a crystal structure in Alexandria, relaxed with PBE, the X-ray powder pattern of Tm4PdPt7 was simulated for Cu Kα, 1.54184 Å.
Neutral-atom scattering factors, no anomalous dispersion.

```
data_Tm4PdPt7
_chemical_formula_sum 'Tm8 Pd2 Pt14'
_cell_length_a 10.6006
_cell_length_b 5.1588
_cell_length_c 10.2178
_cell_angle_alpha 90.00
_cell_angle_beta 119.38
_cell_angle_gamma 90.00
_space_group_name_H-M_alt 'C 1 2/m 1'
_space_group_IT_number 12
loop_
_space_group_symop_operation_xyz
'x,y,z'
'-x,-y,-z'
'-x,y,-z'
'x,-y,z'
'x+1/2,y+1/2,z'
'-x+1/2,-y+1/2,-z'
'-x+1/2,y+1/2,-z'
'x+1/2,-y+1/2,z'
loop_
_atom_site_label
_atom_site_fract_x
_atom_site_fract_y
_atom_site_fract_z
Tm1 0.0958 0.0000 0.2870
Tm2 0.2158 0.5000 0.1398
Pd1 0.0000 0.5000 0.5000
Pt1 0.0000 0.0000 0.5000
Pt2 0.0755 0.5000 0.8076
Pt3 0.1346 0.0000 0.0266
Pt4 0.2096 0.5000 0.4048
```

The 8 most intense peaks (2θ = 10–90°), sorted by position:
(hkl), 2θ (°), I (rel.)
0 2 0, 34.8, 100
4 0 -1, 35.0, 31
2 0 -4, 35.1, 49
4 0 -3, 35.7, 36
3 1 1, 39.4, 77
1 1 3, 40.2, 50
1 1 -4, 40.7, 33
2 2 -4, 50.2, 59

Entry 6:
Starting from a crystal structure in Alexandria, relaxed with PBE, the X-ray powder pattern of Tm2Pd9Pt was simulated for Cu Kα, 1.54184 Å.
Neutral-atom scattering factors, no anomalous dispersion.

```
data_Tm2Pd9Pt
_chemical_formula_sum 'Tm2 Pd9 Pt1'
_cell_length_a 4.0392
_cell_length_b 4.0392
_cell_length_c 12.1892
_cell_angle_alpha 90.00
_cell_angle_beta 90.00
_cell_angle_gamma 90.00
_space_group_name_H-M_alt 'P 4/m m m'
_space_group_IT_number 123
_space_group_name_Hall '-P 4 2'
loop_
_atom_site_label
_atom_site_fract_x
_atom_site_fract_y
_atom_site_fract_z
Tm1 0.0000 0.0000 0.1702
Pd1 0.0000 0.5000 0.0000
Pd2 0.0000 0.5000 0.3396
Pd3 0.5000 0.5000 0.1702
Pd4 0.5000 0.5000 0.5000
Pt1 0.0000 0.0000 0.5000
```

The 8 most intense peaks (2θ = 10–90°), sorted by position:
(hkl), 2θ (°), I (rel.)
1 1 3, 38.5, 100
0 0 6, 44.6, 16
2 0 0, 44.9, 33
2 0 6, 65.1, 21
2 2 0, 65.3, 10
1 1 9, 78.1, 12
3 1 3, 78.5, 25
2 2 6, 82.6, 11

Entry 7:
Starting from a crystal structure in Alexandria, relaxed with PBE, the X-ray powder pattern of TmPd6Pt4 was simulated for Cu Kα, 1.54184 Å.
Neutral-atom scattering factors, no anomalous dispersion.

```
data_TmPd6Pt4
_chemical_formula_sum 'Tm2 Pd12 Pt8'
_cell_length_a 4.5561
_cell_length_b 5.5352
_cell_length_c 14.8235
_cell_angle_alpha 90.00
_cell_angle_beta 90.00
_cell_angle_gamma 90.00
_space_group_name_H-M_alt 'A m m 2'
_space_group_IT_number 38
loop_
_space_group_symop_operation_xyz
'x,y,z'
'-x,-y,z'
'-x,y,z'
'x,-y,z'
'x,y+1/2,z+1/2'
'-x,-y+1/2,z+1/2'
'-x,y+1/2,z+1/2'
'x,-y+1/2,z+1/2'
loop_
_atom_site_label
_atom_site_fract_x
_atom_site_fract_y
_atom_site_fract_z
Tm1 0.0000 0.0000 0.0000
Pd1 0.0000 0.0000 0.4619
Pd2 0.0000 0.2474 0.2972
Pd3 0.5000 0.0000 0.7451
Pd4 0.5000 0.2486 0.0865
Pt1 0.0000 0.0000 0.6394
Pt2 0.5000 0.0000 0.2446
Pt3 0.5000 0.2496 0.4061
```

The 8 most intense peaks (2θ = 10–90°), sorted by position:
(hkl), 2θ (°), I (rel.)
2 0 0, 39.6, 71
1 2 2, 40.0, 100
0 2 4, 40.7, 28
1 0 6, 41.6, 91
1 2 4, 45.5, 52
2 2 4, 58.0, 19
3 2 2, 72.1, 19
1 4 6, 82.7, 25